Theoretical X-ray diffraction stick pattern
Compound: Li4Nb3Cr2Fe3O16
Radiation: copper Kα
Structure: the PBE+U geometry in Alexandria
No peak broadening, texture or thermal motion is included.

Structure:
Cell lengths 6.095, 6.116, 9.684 Å; angles 88.10, 89.78, 60.22 degrees
Fractional positions:
Li1 0.000 0.000 0.000
Li2 0.093 0.793 0.542
Li3 0.422 0.151 0.447
Li4 0.747 0.489 0.922
Nb1 0.267 0.451 0.766
Nb2 0.438 0.660 0.266
Nb3 0.975 0.584 0.231
Cr1 0.450 0.102 0.021
Cr2 0.763 0.448 0.538
Fe1 0.261 0.966 0.752
Fe2 0.756 0.954 0.750
Fe3 0.903 0.133 0.268
O1 0.044 0.338 0.385
O2 0.088 0.779 0.856
O3 0.103 0.764 0.354
O4 0.135 0.281 0.902
O5 0.260 0.959 0.142
O6 0.292 0.436 0.147
O7 0.428 0.151 0.645
O8 0.436 0.602 0.646
O9 0.574 0.843 0.885
O10 0.587 0.266 0.891
O11 0.599 0.338 0.389
O12 0.603 0.772 0.384
O13 0.741 0.488 0.141
O14 0.782 0.930 0.140
O15 0.926 0.114 0.635
O16 0.937 0.609 0.648

Peak list (12 most intense, 2θ from 5° to 70°, in order of rising 2θ)
d (Å)	two_theta	intensity
4.839	18.33	100.0
4.724	18.78	29.9
4.675	18.98	48.0
4.603	19.28	30.1
3.598	24.74	17.0
2.642	33.94	15.7
2.623	34.19	23.0
2.583	34.74	20.7
2.561	35.04	28.6
2.543	35.29	29.5
2.534	35.42	29.5
1.524	60.79	16.0